Computed powder X-ray diffraction pattern of HoPb3 for Cu Ka, from DFT lattice parameters and positions (PBE).
Lines closer than 0.1° are merged.

Cell and atoms:
a = 6.6175 Å, b = 6.6175 Å, c = 6.6175 Å
α = 148.57°, β = 61.50°, γ = 128.60°
Fractional positions:
Ho 0.0000 0.0000 0.0000
Pb 0.3971 0.6500 0.7471
Pb 0.5118 0.0118 0.5000
Pb 0.9028 0.6500 0.2529

The 12 most intense peaks (2θ = 15–90°), by intensity:
d 2.681, I = 100
d 2.844, I = 36
d 2.562, I = 33
d 1.609, I = 22
d 1.451, I = 18
d 3.040, I = 16
d 1.688, I = 15
d 2.869, I = 14
d 1.469, I = 12
d 2.077, I = 12
d 1.516, I = 11
d 2.020, I = 11

=====

Computed powder X-ray diffraction pattern of HoPd14Pb for Cu Ka, from DFT lattice parameters and positions (PBE).
Lines closer than 0.1° are merged.

Cell and atoms:
a = 5.7486 Å, b = 5.7486 Å, c = 7.9283 Å
α = 90.00°, β = 90.00°, γ = 90.00°
Fractional positions:
Ho 0.0000 0.0000 0.0000
Pd 0.0000 0.0000 0.5000
Pd 0.0000 0.5000 0.0000
Pd 0.0000 0.5000 0.5000
Pd 0.2496 0.2496 0.2572
Pd 0.2496 0.2496 0.7428
Pd 0.2496 0.7504 0.2572
Pd 0.2496 0.7504 0.7428
Pd 0.5000 0.0000 0.0000
Pd 0.5000 0.0000 0.5000
Pd 0.5000 0.5000 0.5000
Pd 0.7504 0.2496 0.2572
Pd 0.7504 0.2496 0.7428
Pd 0.7504 0.7504 0.2572
Pd 0.7504 0.7504 0.7428
Pb 0.5000 0.5000 0.0000

The 12 most intense peaks (2θ = 15–90°), by intensity:
d 2.327, I = 100
d 2.032, I = 33
d 1.223, I = 25
d 1.419, I = 20
d 1.982, I = 15
d 1.201, I = 11
d 1.437, I = 11
d 1.163, I = 11
d 3.617, I = 2
d 2.702, I = 2
d 4.065, I = 1
d 2.838, I = 1

=====

Computed powder X-ray diffraction pattern of Pm6HoPb6 for Cu Ka, from DFT lattice parameters and positions (PBE).
Lines closer than 0.1° are merged.

Cell and atoms:
a = 7.4285 Å, b = 7.4285 Å, c = 9.3672 Å
α = 90.00°, β = 90.00°, γ = 120.00°
Fractional positions:
Pm 0.0000 0.5000 0.2482
Pm 0.0000 0.5000 0.7518
Pm 0.5000 0.0000 0.2482
Pm 0.5000 0.0000 0.7518
Pm 0.5000 0.5000 0.2482
Pm 0.5000 0.5000 0.7518
Ho 0.0000 0.0000 0.5000
Pb 0.0000 0.0000 0.1674
Pb 0.0000 0.0000 0.8326
Pb 0.3333 0.6667 0.0000
Pb 0.3333 0.6667 0.5000
Pb 0.6667 0.3333 0.0000
Pb 0.6667 0.3333 0.5000

The 12 most intense peaks (2θ = 15–90°), by intensity:
d 2.652, I = 100
d 2.910, I = 82
d 3.714, I = 79
d 1.857, I = 51
d 3.217, I = 51
d 1.950, I = 26
d 1.439, I = 25
d 1.455, I = 25
d 2.809, I = 21
d 2.144, I = 19
d 1.521, I = 19
d 2.342, I = 18

=====

Computed powder X-ray diffraction pattern of Pm4HoPb3 for Cu Ka, from DFT lattice parameters and positions (PBE).
Lines closer than 0.1° are merged.

Cell and atoms:
a = 5.4081 Å, b = 5.4081 Å, c = 10.3125 Å
α = 105.00°, β = 105.00°, γ = 60.26°
Fractional positions:
Pm 0.1256 0.1256 0.3789
Pm 0.2738 0.2738 0.8171
Pm 0.7262 0.7262 0.1829
Pm 0.8744 0.8744 0.6211
Ho 0.0000 0.0000 0.0000
Pb 0.3838 0.3838 0.1564
Pb 0.5000 0.5000 0.5000
Pb 0.6162 0.6162 0.8436

The 12 most intense peaks (2θ = 15–90°), by intensity:
d 2.900, I = 100
d 2.704, I = 79
d 2.715, I = 40
d 1.596, I = 23
d 1.982, I = 23
d 1.565, I = 15
d 2.090, I = 12
d 1.601, I = 12
d 1.972, I = 11
d 1.404, I = 10
d 2.501, I = 10
d 3.280, I = 10

=====

Computed powder X-ray diffraction pattern of Pm7HoPb4 for Cu Ka, from DFT lattice parameters and positions (PBE).
Lines closer than 0.1° are merged.

Cell and atoms:
a = 7.8601 Å, b = 7.8601 Å, c = 11.0205 Å
α = 121.83°, β = 121.83°, γ = 44.41°
Fractional positions:
Pm 0.0000 0.0000 0.0000
Pm 0.2016 0.2016 0.6283
Pm 0.2914 0.2914 0.1092
Pm 0.4452 0.4452 0.6257
Pm 0.5548 0.5548 0.3743
Pm 0.7086 0.7086 0.8908
Pm 0.7984 0.7984 0.3717
Ho 0.5000 0.5000 0.0000
Pb 0.0644 0.0644 0.7589
Pb 0.1995 0.1995 0.3290
Pb 0.8005 0.8005 0.6710
Pb 0.9356 0.9356 0.2411

The 12 most intense peaks (2θ = 15–90°), by intensity:
d 2.971, I = 100
d 3.239, I = 72
d 2.722, I = 71
d 2.189, I = 49
d 2.480, I = 47
d 2.540, I = 34
d 3.084, I = 34
d 2.305, I = 30
d 2.684, I = 27
d 1.991, I = 23
d 3.019, I = 23
d 3.067, I = 19

=====

Computed powder X-ray diffraction pattern of Pm6Ho8Pb for Cu Ka, from DFT lattice parameters and positions (PBE).
Lines closer than 0.1° are merged.

Cell and atoms:
a = 9.4000 Å, b = 9.4000 Å, c = 6.4456 Å
α = 90.00°, β = 90.00°, γ = 120.00°
Fractional positions:
Pm 0.0903 0.4495 0.3200
Pm 0.3592 0.9097 0.3200
Pm 0.4495 0.3592 0.6800
Pm 0.5505 0.6408 0.3200
Pm 0.6408 0.0903 0.6800
Pm 0.9097 0.5505 0.6800
Ho 0.0370 0.2640 0.8166
Ho 0.2270 0.9630 0.8166
Ho 0.2640 0.2270 0.1834
Ho 0.3333 0.6667 0.8419
Ho 0.6667 0.3333 0.1581
Ho 0.7360 0.7730 0.8166
Ho 0.7730 0.0370 0.1834
Ho 0.9630 0.7360 0.1834
Pb 0.0000 0.0000 0.5000

The 12 most intense peaks (2θ = 15–90°), by intensity:
d 2.777, I = 100
d 2.658, I = 25
d 3.442, I = 19
d 1.776, I = 19
d 3.077, I = 19
d 2.225, I = 14
d 2.997, I = 13
d 1.497, I = 13
d 1.556, I = 12
d 3.223, I = 11
d 1.794, I = 10
d 2.714, I = 9

=====

Computed powder X-ray diffraction pattern of PmHo3Pb3 for Cu Ka, from DFT lattice parameters and positions (PBE).
Lines closer than 0.1° are merged.

Cell and atoms:
a = 7.9989 Å, b = 7.9989 Å, c = 7.8608 Å
α = 91.16°, β = 91.16°, γ = 113.52°
Fractional positions:
Pm 0.1991 0.1991 0.0911
Pm 0.8009 0.8009 0.9089
Ho 0.1379 0.1379 0.6295
Ho 0.2827 0.7173 0.0000
Ho 0.3552 0.6448 0.5000
Ho 0.6448 0.3552 0.5000
Ho 0.7173 0.2827 0.0000
Ho 0.8621 0.8621 0.3705
Pb 0.0231 0.6624 0.6774
Pb 0.3376 0.9769 0.3226
Pb 0.4483 0.4483 0.7991
Pb 0.5517 0.5517 0.2009
Pb 0.6624 0.0231 0.6774
Pb 0.9769 0.3376 0.3226

The 12 most intense peaks (2θ = 15–90°), by intensity:
d 2.818, I = 100
d 2.639, I = 70
d 2.854, I = 46
d 3.571, I = 32
d 2.441, I = 25
d 1.973, I = 23
d 2.230, I = 22
d 2.354, I = 21
d 3.888, I = 19
d 3.362, I = 19
d 3.523, I = 17
d 2.426, I = 17

=====

Computed powder X-ray diffraction pattern of Pm4HoPb4 for Cu Ka, from DFT lattice parameters and positions (PBE).
Lines closer than 0.1° are merged.

Cell and atoms:
a = 9.5958 Å, b = 9.5958 Å, c = 6.5007 Å
α = 90.00°, β = 90.00°, γ = 90.00°
Fractional positions:
Pm 0.0278 0.6691 0.1221
Pm 0.1691 0.9722 0.6221
Pm 0.3309 0.5278 0.6221
Pm 0.4722 0.8309 0.1221
Pm 0.5278 0.1691 0.8779
Pm 0.6691 0.4722 0.3779
Pm 0.8309 0.0278 0.3779
Pm 0.9722 0.3309 0.8779
Ho 0.2500 0.2500 0.2500
Ho 0.7500 0.7500 0.7500
Pb 0.0286 0.6530 0.6145
Pb 0.1530 0.9714 0.1145
Pb 0.3470 0.5286 0.1145
Pb 0.4714 0.8470 0.6145
Pb 0.5286 0.1530 0.3855
Pb 0.6530 0.4714 0.8855
Pb 0.8470 0.0286 0.8855
Pb 0.9714 0.3470 0.3855

The 12 most intense peaks (2θ = 15–90°), by intensity:
d 3.034, I = 100
d 2.591, I = 52
d 3.079, I = 43
d 2.059, I = 34
d 2.146, I = 31
d 1.892, I = 31
d 1.563, I = 19
d 1.433, I = 17
d 1.361, I = 13
d 5.382, I = 12
d 1.357, I = 11
d 3.393, I = 8